Theoretical X-ray diffraction stick pattern
Compound: AcTb3Tm7
Radiation: copper Kα
Structure: a cell relaxed with GGA-PBE
No peak broadening, texture or thermal motion is included.

Cell and atoms:
abc: 6.959 5.531 9.821
angles: 90.00 108.46 90.00
Element x y z (fractional)
Ac1 0.000 0.000 0.000
Tb1 0.276 0.500 0.492
Tb2 0.500 0.000 0.000
Tb3 0.724 0.500 0.508
Tm1 0.000 0.000 0.500
Tm2 0.150 0.500 0.788
Tm3 0.331 0.500 0.144
Tm4 0.438 0.000 0.333
Tm5 0.562 0.000 0.667
Tm6 0.669 0.500 0.856
Tm7 0.850 0.500 0.212

Main lines, low angle first (2θ from 10° to 90°):
index, Position (°2θ), d/Å, I (rel.)
1 1 2, 31.3, 2.859, 29
2 1 0, 31.6, 2.835, 100
1 1 -3, 32.1, 2.790, 30
2 1 -2, 32.2, 2.780, 58
0 2 0, 32.4, 2.766, 69
2 0 -3, 32.7, 2.735, 23
0 1 3, 33.1, 2.708, 72
2 3 -2, 57.6, 1.600, 17
0 0 6, 59.6, 1.551, 17
4 2 -2, 63.2, 1.472, 17